No. 1
BiP4O12: simulated powder X-ray diffraction pattern (CuKα), based on a structure optimized by DFT (GGA-PBE).
Neutral-atom scattering factors, no anomalous dispersion.

Largest 10 diffraction maxima, low angle first, 5° ≤ 2θ ≤ 70°:
Position (°2θ)	I (rel.)
8.97	100
10.05	35
18.44	31
20.18	26
21.53	31
22.90	40
26.67	36
27.14	35
28.18	32
34.07	26

```
BiP4O12
1.0
9.049 -5.947 0.000
9.049 5.947 0.000
-1.222 0.000 5.128
Bi P O
2 8 24
direct
0.160 0.160 0.105
0.840 0.840 0.895
0.099 0.734 0.498
0.198 0.439 0.598
0.266 0.901 0.502
0.439 0.198 0.598
0.561 0.802 0.402
0.734 0.099 0.498
0.802 0.561 0.402
0.901 0.266 0.502
0.006 0.755 0.248
0.039 0.801 0.750
0.117 0.369 0.399
0.174 0.456 0.875
0.185 0.576 0.504
0.199 0.961 0.250
0.225 0.775 0.500
0.245 0.994 0.752
0.358 0.358 0.571
0.369 0.117 0.399
0.424 0.815 0.496
0.456 0.174 0.875
0.544 0.826 0.125
0.576 0.185 0.504
0.631 0.883 0.601
0.642 0.642 0.429
0.755 0.006 0.248
0.775 0.225 0.500
0.801 0.039 0.750
0.815 0.424 0.496
0.826 0.544 0.125
0.883 0.631 0.601
0.961 0.199 0.250
0.994 0.245 0.752
```

No. 2
MgTlGa2Cl8: simulated powder X-ray diffraction pattern (CuKα), based on a structure optimized by DFT (GGA-PBE).
Neutral-atom scattering factors, no anomalous dispersion.

Largest 10 diffraction maxima, low angle first, 5° ≤ 2θ ≤ 70°:
Position (°2θ)	I (rel.)
20.32	100
27.53	52
28.80	32
29.20	72
30.17	26
33.73	31
34.47	30
44.68	27
48.18	38
48.70	36

```
MgTlGa2Cl8
1.0
3.238 1.870 9.301
-3.238 1.870 9.301
0.000 -3.739 9.301
Mg Tl Ga Cl
1 1 2 8
direct
0.000 0.000 0.000
0.500 0.500 0.500
0.259 0.259 0.259
0.741 0.741 0.741
0.067 0.729 0.366
0.178 0.178 0.178
0.271 0.634 0.933
0.366 0.067 0.729
0.634 0.933 0.271
0.729 0.366 0.067
0.822 0.822 0.822
0.933 0.271 0.634
```

No. 3
NaHg3Se3: simulated powder X-ray diffraction pattern (CuKα), based on a structure optimized by DFT (GGA-PBE).
Neutral-atom scattering factors, no anomalous dispersion.

Largest 10 diffraction maxima, low angle first, 5° ≤ 2θ ≤ 70°:
Position (°2θ)	I (rel.)
12.34	31
21.92	91
24.82	67
25.23	76
33.35	100
38.46	92
46.32	62
51.80	24
54.89	32
56.07	23

```
NaHg3Se3
1.0
4.054 2.341 7.174
-4.054 2.341 7.174
0.000 -4.681 7.174
Na Hg Se
2 6 6
direct
0.167 0.167 0.167
0.833 0.833 0.833
0.099 0.385 0.707
0.293 0.901 0.615
0.385 0.707 0.099
0.615 0.293 0.901
0.707 0.099 0.385
0.901 0.615 0.293
0.056 0.761 0.425
0.239 0.575 0.944
0.425 0.056 0.761
0.575 0.944 0.239
0.761 0.425 0.056
0.944 0.239 0.575
```

No. 4
Mg2Ga5Ag4: simulated powder X-ray diffraction pattern (CuKα), based on a structure optimized by DFT (GGA-PBE).
Neutral-atom scattering factors, no anomalous dispersion.

Largest 10 diffraction maxima, low angle first, 5° ≤ 2θ ≤ 70°:
Position (°2θ)	I (rel.)
19.92	54
20.77	32
32.89	37
35.88	42
37.30	31
39.16	59
39.68	89
41.05	100
43.33	26
45.20	43

```
Mg2Ga5Ag4
1.0
-2.612 4.277 4.601
2.612 -4.277 4.601
2.612 4.277 -4.601
Mg Ga Ag
2 5 4
direct
0.189 0.189 0.000
0.811 0.811 0.000
0.000 0.500 0.500
0.341 0.252 0.594
0.341 0.748 0.089
0.659 0.252 0.911
0.659 0.748 0.406
0.062 0.737 0.325
0.412 0.737 0.675
0.588 0.263 0.325
0.938 0.263 0.675
```

No. 5
RbTh2Tl3Se6: simulated powder X-ray diffraction pattern (CuKα), based on a structure optimized by DFT (GGA-PBE).
Neutral-atom scattering factors, no anomalous dispersion.

Largest 10 diffraction maxima, low angle first, 5° ≤ 2θ ≤ 70°:
Position (°2θ)	I (rel.)
23.31	31
24.30	25
27.18	46
27.75	100
38.38	19
39.23	66
40.88	19
47.63	27
49.78	18
63.05	14

```
RbTh2Tl3Se6
1.0
10.121 -2.208 0.000
10.121 2.208 0.000
-2.180 0.000 9.124
Rb Th Tl Se
1 2 3 6
direct
0.000 0.000 0.000
0.331 0.331 0.667
0.669 0.669 0.333
0.000 0.000 0.500
0.341 0.341 0.174
0.659 0.659 0.826
0.177 0.177 0.556
0.181 0.181 0.132
0.470 0.470 0.725
0.530 0.530 0.275
0.819 0.819 0.868
0.823 0.823 0.444
```

No. 6
Na8B13C3: simulated powder X-ray diffraction pattern (CuKα), based on a structure optimized by DFT (GGA-PBE).
Neutral-atom scattering factors, no anomalous dispersion.

Largest 10 diffraction maxima, low angle first, 5° ≤ 2θ ≤ 70°:
Position (°2θ)	I (rel.)
9.73	3
33.60	14
36.28	17
39.66	51
41.60	38
42.01	100
54.50	7
56.36	10
61.84	18
66.95	7

```
Na8B13C3
1.0
10.189 0.000 0.000
0.000 2.796 0.000
-4.609 0.000 9.092
Na B C
8 13 3
direct
0.000 0.000 0.000
0.000 0.500 0.496
0.252 0.000 0.747
0.254 0.500 0.250
0.501 0.000 0.498
0.503 0.500 0.999
0.747 0.500 0.748
0.751 0.000 0.248
0.040 0.500 0.786
0.061 0.000 0.309
0.203 0.500 0.950
0.283 0.500 0.528
0.311 0.000 0.058
0.445 0.500 0.690
0.478 0.000 0.226
0.545 0.000 0.791
0.703 0.000 0.952
0.707 0.500 0.455
0.801 0.500 0.050
0.933 0.000 0.679
0.959 0.500 0.208
0.208 0.000 0.453
0.554 0.500 0.303
0.786 0.000 0.533
```

No. 7
Sm3Dy6Mg: simulated powder X-ray diffraction pattern (CuKα), based on a structure optimized by DFT (GGA-PBE).
Neutral-atom scattering factors, no anomalous dispersion.

Largest 10 diffraction maxima, low angle first, 5° ≤ 2θ ≤ 70°:
Position (°2θ)	I (rel.)
28.35	51
29.88	52
30.71	100
31.95	98
32.30	73
33.23	39
35.27	59
46.08	22
49.95	20
56.23	16

```
Sm3Dy6Mg
1.0
4.713 -7.399 0.000
4.713 7.399 0.000
0.000 0.000 9.080
Sm Dy Mg
6 12 2
direct
0.033 0.967 0.500
0.179 0.469 0.987
0.469 0.179 0.487
0.531 0.821 0.987
0.821 0.531 0.487
0.967 0.033 0.000
0.023 0.331 0.659
0.203 0.797 0.774
0.215 0.358 0.326
0.331 0.023 0.159
0.358 0.215 0.826
0.435 0.565 0.641
0.565 0.435 0.141
0.642 0.785 0.326
0.669 0.977 0.659
0.785 0.642 0.826
0.797 0.203 0.274
0.977 0.669 0.159
0.260 0.740 0.421
0.740 0.260 0.921
```

No. 8
HoBO3: simulated powder X-ray diffraction pattern (CuKα), based on a structure optimized by DFT (GGA-PBE).
Neutral-atom scattering factors, no anomalous dispersion.

Largest 10 diffraction maxima, low angle first, 5° ≤ 2θ ≤ 70°:
Position (°2θ)	I (rel.)
21.15	64
25.07	100
29.65	74
30.73	18
31.19	25
32.17	34
36.07	21
49.06	16
51.42	20
53.55	19

```
HoBO3
1.0
6.161 0.000 0.000
-1.874 6.084 0.000
-1.909 -0.885 6.031
Ho B O
4 4 12
direct
0.045 0.269 0.333
0.444 0.820 0.224
0.556 0.180 0.776
0.955 0.731 0.667
0.019 0.238 0.782
0.478 0.279 0.264
0.522 0.721 0.736
0.981 0.762 0.218
0.046 0.776 0.031
0.088 0.644 0.373
0.154 0.124 0.718
0.368 0.129 0.386
0.386 0.795 0.842
0.426 0.472 0.251
0.574 0.528 0.749
0.614 0.205 0.158
0.632 0.871 0.614
0.846 0.876 0.282
0.912 0.356 0.627
0.954 0.224 0.969
```

No. 9
Li6Cd8Pd: simulated powder X-ray diffraction pattern (CuKα), based on a structure optimized by DFT (GGA-PBE).
Neutral-atom scattering factors, no anomalous dispersion.

Largest 10 diffraction maxima, low angle first, 5° ≤ 2θ ≤ 70°:
Position (°2θ)	I (rel.)
14.89	64
16.88	72
24.19	48
28.12	90
36.95	96
37.42	75
37.90	43
38.00	100
38.62	52
44.79	45

```
Li6Cd8Pd
1.0
3.752 2.166 5.951
-3.752 2.166 5.951
0.000 -4.332 5.951
Li Cd Pd
6 8 1
direct
0.062 0.546 0.773
0.227 0.938 0.454
0.454 0.227 0.938
0.546 0.773 0.062
0.773 0.062 0.546
0.938 0.454 0.227
0.091 0.091 0.091
0.160 0.627 0.330
0.330 0.160 0.627
0.373 0.670 0.840
0.627 0.330 0.160
0.670 0.840 0.373
0.840 0.373 0.670
0.909 0.909 0.909
0.500 0.500 0.500
```

No. 10
Sr3Pd2Au4: simulated powder X-ray diffraction pattern (CuKα), based on a structure optimized by DFT (GGA-PBE).
Neutral-atom scattering factors, no anomalous dispersion.

Largest 10 diffraction maxima, low angle first, 5° ≤ 2θ ≤ 70°:
Position (°2θ)	I (rel.)
21.75	13
22.47	35
31.47	100
38.15	81
44.72	36
45.87	17
50.26	27
61.14	42
64.80	25
68.94	14

```
Sr3Pd2Au4
1.0
4.718 0.000 0.000
-2.359 4.086 0.000
0.000 0.000 23.740
Sr Pd Au
6 4 8
direct
0.000 0.000 0.081
0.000 0.000 0.251
0.000 0.000 0.415
0.000 0.000 0.585
0.000 0.000 0.749
0.000 0.000 0.919
0.333 0.667 0.000
0.667 0.333 0.000
0.667 0.333 0.333
0.667 0.333 0.667
0.333 0.667 0.165
0.333 0.667 0.333
0.333 0.667 0.500
0.333 0.667 0.667
0.333 0.667 0.835
0.667 0.333 0.167
0.667 0.333 0.500
0.667 0.333 0.833
```